Record 1
Pa3TeI7: calculated X-ray powder pattern (λ = 1.5418 Å (Cu Kα)), based on a crystal structure in Alexandria, relaxed with GGA-PBE.

```
data_Pa3TeI7
_cell_length_a 14.5203
_cell_length_b 8.3851
_cell_length_c 10.6707
_cell_angle_alpha 90.00
_cell_angle_beta 132.07
_cell_angle_gamma 90.00
_symmetry_space_group_name_H-M 'C 1 m 1'
_symmetry_Int_Tables_number 8
loop_
_symmetry_equiv_pos_as_xyz
'x,y,z'
'x,-y,z'
'x+1/2,y+1/2,z'
'x+1/2,-y+1/2,z'
loop_
_atom_site_label
_atom_site_type_symbol
_atom_site_fract_x
_atom_site_fract_y
_atom_site_fract_z
Pa1 Pa 0.0000 0.0000 0.0000
Pa2 Pa 0.2618 0.2625 0.9993
Te1 Te 0.0670 0.0000 0.7810
I1 I 0.0500 0.5000 0.7517
I2 I 0.2054 0.2550 0.2343
I3 I 0.3047 0.2461 0.7527
I4 I 0.4597 0.0000 0.2332
I5 I 0.4772 0.5000 0.2761
```

Largest 10 diffraction maxima, most intense first, 15° ≤ 2θ ≤ 90°:
| 2θ/deg | intensity |
| --- | --- |
| 26.9 | 100 |
| 43.2 | 51 |
| 27.2 | 51 |
| 33.4 | 40 |
| 42.5 | 31 |
| 33.6 | 30 |
| 33.7 | 18 |
| 51.7 | 17 |
| 42.0 | 17 |
| 33.2 | 16 |

Record 2
Pa2Te4I: calculated X-ray powder pattern (λ = 1.5418 Å (Cu Kα)), based on a crystal structure in Alexandria, relaxed with GGA-PBE.

```
data_Pa2Te4I
_cell_length_a 8.4930
_cell_length_b 15.5378
_cell_length_c 7.6425
_cell_angle_alpha 90.00
_cell_angle_beta 90.00
_cell_angle_gamma 90.00
_symmetry_space_group_name_H-M 'I m a 2'
_symmetry_Int_Tables_number 46
loop_
_symmetry_equiv_pos_as_xyz
'x,y,z'
'-x,-y,z'
'-x+1/2,y,z'
'x+1/2,-y,z'
'x+1/2,y+1/2,z+1/2'
'-x+1/2,-y+1/2,z+1/2'
'-x,y+1/2,z+1/2'
'x,-y+1/2,z+1/2'
loop_
_atom_site_label
_atom_site_type_symbol
_atom_site_fract_x
_atom_site_fract_y
_atom_site_fract_z
Pa1 Pa 0.0000 0.0000 0.0000
Pa2 Pa 0.2500 0.1990 0.5828
Te1 Te 0.0037 0.1989 0.8675
Te2 Te 0.2500 0.0054 0.7064
Te3 Te 0.2500 0.1099 0.2238
I1 I 0.2500 0.6094 0.7153
```

Largest 10 diffraction maxima, most intense first, 15° ≤ 2θ ≤ 90°:
| 2θ/deg | intensity |
| --- | --- |
| 37.8 | 100 |
| 31.5 | 84 |
| 33.6 | 81 |
| 24.7 | 70 |
| 31.1 | 70 |
| 39.4 | 46 |
| 42.6 | 39 |
| 59.4 | 33 |
| 29.6 | 32 |
| 53.6 | 30 |

Record 3
PaTiI6: calculated X-ray powder pattern (λ = 1.5418 Å (Cu Kα)), based on a crystal structure in Alexandria, relaxed with GGA-PBE.

```
data_PaTiI6
_cell_length_a 8.1862
_cell_length_b 13.7681
_cell_length_c 6.7690
_cell_angle_alpha 90.00
_cell_angle_beta 90.96
_cell_angle_gamma 90.00
_symmetry_space_group_name_H-M 'C 1 2/m 1'
_symmetry_Int_Tables_number 12
loop_
_symmetry_equiv_pos_as_xyz
'x,y,z'
'-x,-y,-z'
'-x,y,-z'
'x,-y,z'
'x+1/2,y+1/2,z'
'-x+1/2,-y+1/2,-z'
'-x+1/2,y+1/2,-z'
'x+1/2,-y+1/2,z'
loop_
_atom_site_label
_atom_site_type_symbol
_atom_site_fract_x
_atom_site_fract_y
_atom_site_fract_z
Pa1 Pa 0.0000 0.0000 0.0000
Ti1 Ti 0.0000 0.0000 0.5000
I1 I 0.1471 0.1511 0.7335
I2 I 0.2065 0.5000 0.7244
```

Largest 10 diffraction maxima, most intense first, 15° ≤ 2θ ≤ 90°:
| 2θ/deg | intensity |
| --- | --- |
| 25.8 | 100 |
| 25.6 | 50 |
| 38.4 | 41 |
| 34.9 | 39 |
| 47.5 | 25 |
| 26.0 | 24 |
| 46.3 | 24 |
| 34.1 | 21 |
| 39.3 | 21 |
| 18.3 | 15 |

Record 4
PaTl3I8: calculated X-ray powder pattern (λ = 1.5418 Å (Cu Kα)), based on a crystal structure in Alexandria, relaxed with GGA-PBE.

```
data_PaTl3I8
_cell_length_a 10.8402
_cell_length_b 10.8402
_cell_length_c 11.2448
_cell_angle_alpha 90.00
_cell_angle_beta 90.00
_cell_angle_gamma 120.00
_symmetry_space_group_name_H-M 'P 63 m c'
_symmetry_Int_Tables_number 186
_symmetry_space_group_name_Hall 'P 6c -2c'
loop_
_atom_site_label
_atom_site_type_symbol
_atom_site_fract_x
_atom_site_fract_y
_atom_site_fract_z
Pa1 Pa 0.3333 0.6667 0.0000
Tl1 Tl 0.1466 0.2932 0.7267
I1 I 0.0000 0.0000 0.4148
I2 I 0.0285 0.5143 0.9232
I3 I 0.2094 0.4188 0.1746
I4 I 0.3333 0.6667 0.7059
```

Largest 10 diffraction maxima, most intense first, 15° ≤ 2θ ≤ 90°:
| 2θ/deg | intensity |
| --- | --- |
| 24.7 | 100 |
| 33.1 | 65 |
| 34.8 | 34 |
| 29.6 | 32 |
| 46.5 | 26 |
| 26.3 | 26 |
| 31.8 | 21 |
| 45.0 | 17 |
| 30.5 | 16 |
| 22.8 | 15 |

Record 5
Pa2Tl5I12: calculated X-ray powder pattern (λ = 1.5418 Å (Cu Kα)), based on a crystal structure in Alexandria, relaxed with GGA-PBE.

```
data_Pa2Tl5I12
_cell_length_a 19.6615
_cell_length_b 8.7387
_cell_length_c 11.3818
_cell_angle_alpha 90.00
_cell_angle_beta 107.94
_cell_angle_gamma 90.00
_symmetry_space_group_name_H-M 'C 1 2/m 1'
_symmetry_Int_Tables_number 12
loop_
_symmetry_equiv_pos_as_xyz
'x,y,z'
'-x,-y,-z'
'-x,y,-z'
'x,-y,z'
'x+1/2,y+1/2,z'
'-x+1/2,-y+1/2,-z'
'-x+1/2,y+1/2,-z'
'x+1/2,-y+1/2,z'
loop_
_atom_site_label
_atom_site_type_symbol
_atom_site_fract_x
_atom_site_fract_y
_atom_site_fract_z
Pa1 Pa 0.0000 0.2330 0.0000
Tl1 Tl 0.0000 0.5000 0.5000
Tl2 Tl 0.1805 0.0000 0.7813
Tl3 Tl 0.2147 0.0000 0.3760
I1 I 0.0069 0.0000 0.2104
I2 I 0.0069 0.5000 0.1883
I3 I 0.1446 0.2485 0.5549
I4 I 0.1595 0.2420 0.0708
```

Largest 10 diffraction maxima, most intense first, 15° ≤ 2θ ≤ 90°:
| 2θ/deg | intensity |
| --- | --- |
| 26.2 | 100 |
| 28.6 | 67 |
| 17.5 | 58 |
| 18.6 | 55 |
| 26.1 | 48 |
| 31.4 | 47 |
| 35.1 | 44 |
| 35.8 | 43 |
| 41.3 | 43 |
| 27.9 | 42 |

Record 6
ZrPaI4: calculated X-ray powder pattern (λ = 1.5418 Å (Cu Kα)), based on a crystal structure in Alexandria, relaxed with GGA-PBE.

```
data_ZrPaI4
_cell_length_a 3.7988
_cell_length_b 7.0537
_cell_length_c 8.7283
_cell_angle_alpha 100.24
_cell_angle_beta 102.38
_cell_angle_gamma 90.00
_symmetry_space_group_name_H-M 'P 1'
_symmetry_Int_Tables_number 1
loop_
_symmetry_equiv_pos_as_xyz
'x,y,z'
loop_
_atom_site_label
_atom_site_type_symbol
_atom_site_fract_x
_atom_site_fract_y
_atom_site_fract_z
Zr1 Zr 0.0000 0.0000 0.0000
Pa1 Pa 0.4940 0.5975 0.9878
I1 I 0.1080 0.4229 0.2192
I2 I 0.3943 0.1717 0.7855
I3 I 0.6272 0.9514 0.2582
I4 I 0.8630 0.6835 0.7220
```

Largest 10 diffraction maxima, most intense first, 15° ≤ 2θ ≤ 90°:
| 2θ/deg | intensity |
| --- | --- |
| 30.0 | 100 |
| 29.6 | 49 |
| 45.4 | 25 |
| 39.7 | 22 |
| 39.8 | 22 |
| 26.8 | 22 |
| 37.5 | 21 |
| 57.3 | 15 |
| 47.9 | 15 |
| 43.2 | 15 |